Starting from DFT lattice parameters and positions (GGA+U), the XRD peak list of LaCu3Ni4O12 was simulated for Cu Kα.

Top 10 peaks for 2θ from 10° to 80°, by angle:
two_theta, d (Å), I_rel
17.1, 5.199, 7.0
29.8, 3.002, 2.0
34.5, 2.600, 100.0
38.7, 2.325, 8.0
42.6, 2.123, 3.1
46.2, 1.965, 7.0
49.6, 1.838, 23.7
61.8, 1.501, 46.6
64.6, 1.442, 1.9
72.8, 1.300, 11.6

Atomic structure:
Cell: 6.3678 6.3678 6.3678 Å, 109.47 109.47 109.47°
Positions (direct):
La (0.0000, 0.0000, 0.0000)
Cu (0.0000, 0.5000, 0.5000)
Cu (0.5000, 0.0000, 0.5000)
Cu (0.5000, 0.5000, 0.0000)
Ni (0.0000, 0.0000, 0.5000)
Ni (0.0000, 0.5000, 0.0000)
Ni (0.5000, 0.0000, 0.0000)
Ni (0.5000, 0.5000, 0.5000)
O (0.1407, 0.8285, 0.3122)
O (0.1715, 0.3122, 0.4837)
O (0.1715, 0.6878, 0.8593)
O (0.3122, 0.1407, 0.8285)
O (0.3122, 0.4837, 0.1715)
O (0.4837, 0.1715, 0.3122)
O (0.5163, 0.8285, 0.6878)
O (0.6878, 0.5163, 0.8285)
O (0.6878, 0.8593, 0.1715)
O (0.8285, 0.3122, 0.1407)
O (0.8285, 0.6878, 0.5163)
O (0.8593, 0.1715, 0.6878)